# Sm6YTh4
Computed powder diffractogram, copper Kα. Input: a GGA-PBE-relaxed structure.
No peak broadening, texture or thermal motion is included.

Atomic structure:
a = 3.477 Å, b = 5.919 Å, c = 36.023 Å
α = 90.00°, β = 90.00°, γ = 90.00°
Space group Immm (No. 71)
Asymmetric unit:
Sm (0.000, 0.000, 0.095) x4
Sm (0.000, 0.000, 0.268) x4
Sm (0.000, 0.000, 0.369) x4
Y (0.000, 0.500, 0.500) x2
Th (0.000, 0.500, 0.043) x4
Th (0.000, 0.500, 0.318) x4

Peak list (10 most intense, 15 to 90 degrees two-theta, by angle)
2θ/deg  Rel. int.  (hkl)
16.7  178  0 1 3
26.7  367  1 0 3
28.5  166  1 0 5
30.2  674  0 2 0
31.2  1000  0 1 11
33.4  382  1 1 6
36.0  483  1 1 8
40.7  244  1 2 3
54.3  214  0 3 11
62.5  281  2 1 11